# Cd3In2I8
Simulated X-ray diffraction stick pattern, Cu Kα, 1.54184 Å. Input: a DFT-relaxed cell (GGA-PBE, Alexandria).
Lines closer than 0.1° are merged.

Most intense lines, 2θ = 10–80°, in order of rising 2θ:
d_spacing  2theta  intensity  (hkl)
8.099  10.92  32  2 0 0
4.992  17.77  22  1 1 1
3.647  24.41  27  2 2 -1
3.032  29.46  50  2 0 2
3.004  29.74  100  4 2 -1
2.571  34.89  34  4 2 1
2.227  40.50  52  2 2 -3
2.198  41.06  25  0 4 0

```
data_Cd3In2I8
_cell_length_a 16.9943
_cell_length_b 8.7927
_cell_length_c 7.7500
_cell_angle_alpha 90.00
_cell_angle_beta 107.62
_cell_angle_gamma 90.00
_space_group_name_H-M_alt 'C 1 2/m 1'
_space_group_IT_number 12
_space_group_name_Hall '-C 2y'
loop_
_atom_site_label
_atom_site_type_symbol
_atom_site_fract_x
_atom_site_fract_y
_atom_site_fract_z
_atom_site_occupancy
Cd1 Cd 0.0000 0.0000 0.0000 1
Cd2 Cd 0.0000 0.2591 0.5000 1
In1 In 0.2423 0.5000 0.1673 1
I1 I 0.1040 0.0000 0.4046 1
I2 I 0.1042 0.2385 0.8979 1
I3 I 0.1112 0.5000 0.4396 1
```